No. 1
This entry pairs a crystal structure of RbCaI with its theoretical powder X-ray diffraction pattern. Radiation: Cu Ka. Structure: DFT lattice parameters and positions (GGA-PBE).
Peak positions follow from Bragg's law for the DFT cell and can differ from measured ones.

```
data_RbCaI
_space_group_name_H-M_alt 'A m m 2'
_space_group_IT_number 38
_cell_length_a 17.393
_cell_length_b 4.381
_cell_length_c 7.584
_cell_angle_alpha 90.00
_cell_angle_beta 90.00
_cell_angle_gamma 90.00
loop_
_space_group_symop_operation_xyz
'x,y,z'
'-x,-y,z'
'-x,y,z'
'x,-y,z'
'x,y+1/2,z+1/2'
'-x,-y+1/2,z+1/2'
'-x,y+1/2,z+1/2'
'x,-y+1/2,z+1/2'
loop_
_atom_site_label
_atom_site_type_symbol
_atom_site_fract_x
_atom_site_fract_y
_atom_site_fract_z
Rb1 Rb 0.211 0.000 0.000
Ca1 Ca 0.000 0.000 0.335
Ca2 Ca 0.500 0.000 0.000
I1 I 0.383 0.000 0.334
```

Largest 12 diffraction maxima, in order of rising 2θ, 2θ from 5° to 70°:
2θ 5.08, I = 100, hkl 1 0 0
2θ 23.45, I = 36, hkl 0 0 2
2θ 24.01, I = 20, hkl 1 1 1
2θ 25.61, I = 40, hkl 5 0 0
2θ 28.11, I = 61, hkl 3 1 1
2θ 31.29, I = 44, hkl 4 1 1
2θ 35.00, I = 18, hkl 5 0 2
2θ 41.22, I = 30, hkl 0 2 0
2θ 48.25, I = 15, hkl 8 1 1
2θ 49.16, I = 23, hkl 5 2 0
2θ 52.64, I = 12, hkl 10 0 0
2θ 68.96, I = 14, hkl 10 2 0


No. 2
This entry pairs a crystal structure of Rb4Ca3I10 with its theoretical powder X-ray diffraction pattern. Radiation: Cu Ka. Structure: DFT lattice parameters and positions (GGA-PBE).
Peak positions follow from Bragg's law for the DFT cell and can differ from measured ones.

```
data_Rb4Ca3I10
_space_group_name_H-M_alt 'I 4/m m m'
_space_group_IT_number 139
_space_group_name_Hall '-I 4 2'
_cell_length_a 6.189
_cell_length_b 6.189
_cell_length_c 43.061
_cell_angle_alpha 90.00
_cell_angle_beta 90.00
_cell_angle_gamma 90.00
loop_
_atom_site_label
_atom_site_type_symbol
_atom_site_fract_x
_atom_site_fract_y
_atom_site_fract_z
Rb1 Rb 0.000 0.000 0.069
Rb2 Rb 0.000 0.000 0.199
Ca1 Ca 0.000 0.000 0.355
Ca2 Ca 0.000 0.000 0.500
I1 I 0.000 0.000 0.284
I2 I 0.000 0.000 0.428
I3 I 0.000 0.500 0.000
I4 I 0.000 0.500 0.141
```

Largest 12 diffraction maxima, in order of rising 2θ, 2θ from 5° to 70°:
2θ 21.92, I = 13, hkl 1 1 4
2θ 23.81, I = 72, hkl 1 1 6
2θ 26.25, I = 100, hkl 1 1 8
2θ 28.85, I = 100, hkl 2 0 0
2θ 29.04, I = 48, hkl 0 0 14
2θ 41.26, I = 37, hkl 2 2 0
2θ 41.39, I = 62, hkl 2 0 14
2θ 48.19, I = 21, hkl 3 1 6
2θ 49.56, I = 34, hkl 3 1 8
2θ 51.12, I = 17, hkl 1 1 22
2θ 51.24, I = 35, hkl 2 2 14
2θ 67.73, I = 45, hkl 4 2 0


No. 3
This entry pairs a crystal structure of CaS3I with its theoretical powder X-ray diffraction pattern. Radiation: Cu Ka. Structure: DFT lattice parameters and positions (GGA-PBE).
Peak positions follow from Bragg's law for the DFT cell and can differ from measured ones.

```
data_CaS3I
_space_group_name_H-M_alt 'P m -3 m'
_space_group_IT_number 221
_space_group_name_Hall '-P 4 2 3'
_cell_length_a 5.103
_cell_length_b 5.103
_cell_length_c 5.103
_cell_angle_alpha 90.00
_cell_angle_beta 90.00
_cell_angle_gamma 90.00
loop_
_atom_site_label
_atom_site_type_symbol
_atom_site_fract_x
_atom_site_fract_y
_atom_site_fract_z
Ca1 Ca 0.000 0.000 0.000
S1 S 0.000 0.500 0.500
I1 I 0.500 0.500 0.500
```

Largest 12 diffraction maxima, in order of rising 2θ, 2θ from 5° to 70°:
2θ 17.38, I = 89, hkl 1 0 0
2θ 24.67, I = 100, hkl 1 1 0
2θ 30.34, I = 1, hkl 1 1 1
2θ 35.17, I = 78, hkl 2 0 0
2θ 39.49, I = 43, hkl 2 1 0
2θ 43.44, I = 44, hkl 2 1 1
2θ 50.59, I = 52, hkl 2 2 0
2θ 53.90, I = 21, hkl 3 0 0
2θ 57.08, I = 19, hkl 3 1 0
2θ 63.11, I = 17, hkl 2 2 2
2θ 66.01, I = 9, hkl 3 2 0
2θ 68.84, I = 22, hkl 3 2 1


No. 4
This entry pairs a crystal structure of Ca2SbI2 with its theoretical powder X-ray diffraction pattern. Radiation: Cu Ka. Structure: DFT lattice parameters and positions (GGA-PBE).
Peak positions follow from Bragg's law for the DFT cell and can differ from measured ones.

```
data_Ca2SbI2
_space_group_name_H-M_alt 'C 1 2/m 1'
_space_group_IT_number 12
_cell_length_a 7.485
_cell_length_b 4.338
_cell_length_c 12.920
_cell_angle_alpha 90.00
_cell_angle_beta 102.37
_cell_angle_gamma 90.00
loop_
_space_group_symop_operation_xyz
'x,y,z'
'-x,-y,-z'
'-x,y,-z'
'x,-y,z'
'x+1/2,y+1/2,z'
'-x+1/2,-y+1/2,-z'
'-x+1/2,y+1/2,-z'
'x+1/2,-y+1/2,z'
loop_
_atom_site_label
_atom_site_type_symbol
_atom_site_fract_x
_atom_site_fract_y
_atom_site_fract_z
Ca1 Ca 0.228 0.000 0.168
Sb1 Sb 0.000 0.500 0.000
I1 I 0.051 0.000 0.685
```

Largest 12 diffraction maxima, in order of rising 2θ, 2θ from 5° to 70°:
2θ 7.00, I = 32, hkl 0 0 1
2θ 21.12, I = 46, hkl 0 0 3
2θ 23.85, I = 22, hkl 1 1 0
2θ 24.12, I = 39, hkl 1 1 -1
2θ 24.35, I = 25, hkl 2 0 0
2θ 25.63, I = 35, hkl 1 1 1
2θ 28.72, I = 57, hkl 2 0 -3
2θ 29.11, I = 100, hkl 1 1 2
2θ 35.19, I = 29, hkl 1 1 -4
2θ 40.92, I = 29, hkl 1 1 -5
2θ 41.63, I = 32, hkl 0 2 0
2θ 41.77, I = 42, hkl 3 1 -1


No. 5
This entry pairs a crystal structure of SrCaSbI with its theoretical powder X-ray diffraction pattern. Radiation: Cu Ka. Structure: DFT lattice parameters and positions (GGA-PBE).
Peak positions follow from Bragg's law for the DFT cell and can differ from measured ones.

```
data_SrCaSbI
_space_group_name_H-M_alt 'R -3 m'
_space_group_IT_number 166
_space_group_name_Hall '-R 3 2"'
_cell_length_a 5.0697
_cell_length_b 5.0697
_cell_length_c 45.6165
_cell_angle_alpha 90.00
_cell_angle_beta 90.00
_cell_angle_gamma 120.00
loop_
_atom_site_label
_atom_site_type_symbol
_atom_site_fract_x
_atom_site_fract_y
_atom_site_fract_z
Sr1 Sr 0.0000 0.0000 0.0904
Ca1 Ca 0.0000 0.0000 0.3080
Sb1 Sb 0.0000 0.0000 0.3803
I1 I 0.0000 0.0000 0.2073
```

Largest 12 diffraction maxima, in order of rising 2θ, 2θ from 5° to 70°:
2θ 20.60, I = 26, hkl 0 1 2
2θ 21.69, I = 31, hkl 1 0 4
2θ 23.40, I = 21, hkl 0 0 12
2θ 24.45, I = 88, hkl 1 0 7
2θ 28.21, I = 88, hkl 1 0 10
2θ 35.41, I = 100, hkl 1 1 0
2θ 39.35, I = 55, hkl 0 1 17
2θ 42.90, I = 33, hkl 1 1 12
2θ 45.88, I = 23, hkl 0 2 10
2θ 53.97, I = 22, hkl 2 0 17
2θ 59.25, I = 21, hkl 2 1 10
2θ 66.22, I = 23, hkl 1 2 17


No. 6
This entry pairs a crystal structure of CaZnSbI with its theoretical powder X-ray diffraction pattern. Radiation: Cu Ka. Structure: DFT lattice parameters and positions (GGA-PBE).
Peak positions follow from Bragg's law for the DFT cell and can differ from measured ones.

```
data_CaZnSbI
_space_group_name_H-M_alt 'R -3 m'
_space_group_IT_number 166
_space_group_name_Hall '-R 3 2"'
_cell_length_a 4.4979
_cell_length_b 4.4979
_cell_length_c 45.5839
_cell_angle_alpha 90.00
_cell_angle_beta 90.00
_cell_angle_gamma 120.00
loop_
_atom_site_label
_atom_site_type_symbol
_atom_site_fract_x
_atom_site_fract_y
_atom_site_fract_z
Ca1 Ca 0.0000 0.0000 0.0825
Zn1 Zn 0.0000 0.0000 0.3116
Sb1 Sb 0.0000 0.0000 0.3732
I1 I 0.0000 0.0000 0.2119
```

Largest 12 diffraction maxima, in order of rising 2θ, 2θ from 5° to 70°:
2θ 5.82, I = 99, hkl 0 0 3
2θ 23.17, I = 58, hkl 0 1 2
2θ 23.42, I = 37, hkl 0 0 12
2θ 24.86, I = 21, hkl 0 1 5
2θ 26.67, I = 100, hkl 1 0 7
2θ 30.18, I = 33, hkl 1 0 10
2θ 34.41, I = 34, hkl 1 0 13
2θ 40.09, I = 85, hkl 1 1 0
2θ 40.86, I = 31, hkl 0 1 17
2θ 44.34, I = 31, hkl 1 0 19
2θ 46.95, I = 35, hkl 1 1 12
2θ 48.80, I = 18, hkl 0 2 7


No. 7
This entry pairs a crystal structure of CaSn2I with its theoretical powder X-ray diffraction pattern. Radiation: Cu Ka. Structure: DFT lattice parameters and positions (GGA-PBE).
Peak positions follow from Bragg's law for the DFT cell and can differ from measured ones.

```
data_CaSn2I
_space_group_name_H-M_alt 'I -4 2 d'
_space_group_IT_number 122
_space_group_name_Hall 'I -4 2bw'
_cell_length_a 9.564
_cell_length_b 9.564
_cell_length_c 6.076
_cell_angle_alpha 90.00
_cell_angle_beta 90.00
_cell_angle_gamma 90.00
loop_
_atom_site_label
_atom_site_type_symbol
_atom_site_fract_x
_atom_site_fract_y
_atom_site_fract_z
Ca1 Ca 0.000 0.000 0.000
Sn1 Sn 0.235 0.250 0.125
I1 I 0.000 0.000 0.500
```

Largest 12 diffraction maxima, in order of rising 2θ, 2θ from 5° to 70°:
2θ 17.29, I = 7, hkl 1 0 1
2θ 25.47, I = 14, hkl 2 1 1
2θ 26.36, I = 100, hkl 2 2 0
2θ 32.30, I = 62, hkl 1 1 2
2θ 37.62, I = 38, hkl 4 0 0
2θ 42.16, I = 60, hkl 3 1 2
2θ 50.41, I = 17, hkl 3 3 2
2θ 54.25, I = 13, hkl 4 4 0
2θ 57.77, I = 22, hkl 5 1 2
2θ 61.30, I = 17, hkl 6 2 0
2θ 64.35, I = 17, hkl 2 0 4
2θ 64.57, I = 16, hkl 5 3 2


No. 8
This entry pairs a crystal structure of SrCaI4 with its theoretical powder X-ray diffraction pattern. Radiation: Cu Ka. Structure: DFT lattice parameters and positions (GGA-PBE).
Peak positions follow from Bragg's law for the DFT cell and can differ from measured ones.

```
data_SrCaI4
_space_group_name_H-M_alt 'P 1 m 1'
_space_group_IT_number 6
_cell_length_a 7.615
_cell_length_b 4.827
_cell_length_c 7.635
_cell_angle_alpha 90.00
_cell_angle_beta 90.03
_cell_angle_gamma 90.00
loop_
_space_group_symop_operation_xyz
'x,y,z'
'x,-y,z'
loop_
_atom_site_label
_atom_site_type_symbol
_atom_site_fract_x
_atom_site_fract_y
_atom_site_fract_z
Sr1 Sr 0.000 0.000 0.000
Ca1 Ca 0.500 0.500 0.500
I1 I 0.208 0.500 0.797
I2 I 0.307 0.000 0.311
I3 I 0.693 0.000 0.690
I4 I 0.793 0.500 0.205
```

Largest 12 diffraction maxima, in order of rising 2θ, 2θ from 5° to 70°:
2θ 16.44, I = 22, hkl 1 0 1
2θ 23.33, I = 20, hkl 2 0 0
2θ 24.76, I = 100, hkl 1 1 -1
2θ 26.13, I = 36, hkl 1 0 2
2θ 32.14, I = 33, hkl 2 1 1
2θ 33.23, I = 23, hkl 2 0 -2
2θ 37.26, I = 17, hkl 0 2 0
2θ 40.09, I = 39, hkl 0 1 3
2θ 41.88, I = 17, hkl 3 1 1
2θ 46.08, I = 15, hkl 1 2 2
2θ 50.79, I = 21, hkl 3 0 3
2θ 69.08, I = 15, hkl 2 1 -5


No. 9
This entry pairs a crystal structure of SrCa2I6 with its theoretical powder X-ray diffraction pattern. Radiation: Cu Ka. Structure: DFT lattice parameters and positions (GGA-PBE).
Peak positions follow from Bragg's law for the DFT cell and can differ from measured ones.

```
data_SrCa2I6
_space_group_name_H-M_alt 'P b c n'
_space_group_IT_number 60
_cell_length_a 7.277
_cell_length_b 27.198
_cell_length_c 8.062
_cell_angle_alpha 90.00
_cell_angle_beta 90.00
_cell_angle_gamma 90.00
loop_
_space_group_symop_operation_xyz
'x,y,z'
'-x,-y,-z'
'-x+1/2,-y+1/2,z+1/2'
'x+1/2,y+1/2,-z+1/2'
'x+1/2,-y+1/2,-z'
'-x+1/2,y+1/2,z'
'-x,y,-z+1/2'
'x,-y,z+1/2'
loop_
_atom_site_label
_atom_site_type_symbol
_atom_site_fract_x
_atom_site_fract_y
_atom_site_fract_z
Sr1 Sr 0.000 0.119 0.250
Ca1 Ca 0.000 0.214 0.750
Ca2 Ca 0.000 0.453 0.250
I1 I 0.238 0.465 0.572
I2 I 0.246 0.207 0.072
I3 I 0.247 0.130 0.590
```

Largest 12 diffraction maxima, in order of rising 2θ, 2θ from 5° to 70°:
2θ 24.46, I = 22, hkl 2 0 0
2θ 25.26, I = 47, hkl 1 0 2
2θ 25.65, I = 100, hkl 1 6 1
2θ 33.17, I = 20, hkl 2 0 2
2θ 33.48, I = 31, hkl 2 6 1
2θ 38.96, I = 31, hkl 0 6 3
2θ 39.77, I = 13, hkl 0 12 0
2θ 43.54, I = 10, hkl 3 0 2
2θ 43.79, I = 23, hkl 3 6 1
2θ 46.54, I = 14, hkl 2 6 3
2θ 47.70, I = 14, hkl 1 12 2
2θ 65.26, I = 13, hkl 4 6 3


No. 10
This entry pairs a crystal structure of Ca3TcI with its theoretical powder X-ray diffraction pattern. Radiation: Cu Ka. Structure: DFT lattice parameters and positions (GGA-PBE).
Peak positions follow from Bragg's law for the DFT cell and can differ from measured ones.

```
data_Ca3TcI
_space_group_name_H-M_alt 'P m -3 m'
_space_group_IT_number 221
_space_group_name_Hall '-P 4 2 3'
_cell_length_a 5.527
_cell_length_b 5.527
_cell_length_c 5.527
_cell_angle_alpha 90.00
_cell_angle_beta 90.00
_cell_angle_gamma 90.00
loop_
_atom_site_label
_atom_site_type_symbol
_atom_site_fract_x
_atom_site_fract_y
_atom_site_fract_z
Ca1 Ca 0.000 0.000 0.500
Tc1 Tc 0.000 0.000 0.000
I1 I 0.500 0.500 0.500
```

Largest 12 diffraction maxima, in order of rising 2θ, 2θ from 5° to 70°:
2θ 16.04, I = 1, hkl 1 0 0
2θ 22.75, I = 100, hkl 1 1 0
2θ 27.96, I = 28, hkl 1 1 1
2θ 32.40, I = 75, hkl 2 0 0
2θ 36.35, I = 1, hkl 2 1 0
2θ 39.96, I = 46, hkl 2 1 1
2θ 46.47, I = 53, hkl 2 2 0
2θ 52.35, I = 21, hkl 3 1 0
2θ 55.11, I = 11, hkl 3 1 1
2θ 57.79, I = 18, hkl 2 2 2
2θ 62.92, I = 24, hkl 3 2 1
2θ 67.83, I = 8, hkl 4 0 0


No. 11
This entry pairs a crystal structure of Ca4Te3I with its theoretical powder X-ray diffraction pattern. Radiation: Cu Ka. Structure: DFT lattice parameters and positions (GGA-PBE).
Peak positions follow from Bragg's law for the DFT cell and can differ from measured ones.

```
data_Ca4Te3I
_space_group_name_H-M_alt 'R -3 m'
_space_group_IT_number 166
_space_group_name_Hall '-R 3 2"'
_cell_length_a 4.5383
_cell_length_b 4.5383
_cell_length_c 43.9670
_cell_angle_alpha 90.00
_cell_angle_beta 90.00
_cell_angle_gamma 120.00
loop_
_atom_site_label
_atom_site_type_symbol
_atom_site_fract_x
_atom_site_fract_y
_atom_site_fract_z
Ca1 Ca 0.0000 0.0000 0.1210
Ca2 Ca 0.0000 0.0000 0.3742
Te1 Te 0.0000 0.0000 0.0000
Te2 Te 0.0000 0.0000 0.2500
I1 I 0.0000 0.0000 0.5000
```

Largest 12 diffraction maxima, in order of rising 2θ, 2θ from 5° to 70°:
2θ 24.05, I = 34, hkl 1 0 4
2θ 24.29, I = 11, hkl 0 0 12
2θ 27.91, I = 100, hkl 0 1 8
2θ 39.72, I = 38, hkl 1 1 0
2θ 40.04, I = 36, hkl 1 0 16
2θ 47.11, I = 12, hkl 1 1 12
2θ 47.38, I = 6, hkl 0 1 20
2θ 49.24, I = 20, hkl 2 0 8
2θ 49.77, I = 6, hkl 0 0 24
2θ 57.67, I = 12, hkl 0 2 16
2θ 65.04, I = 17, hkl 1 2 8
2θ 65.48, I = 16, hkl 1 1 24


No. 12
This entry pairs a crystal structure of CaTeI5 with its theoretical powder X-ray diffraction pattern. Radiation: Cu Ka. Structure: DFT lattice parameters and positions (GGA-PBE).
Peak positions follow from Bragg's law for the DFT cell and can differ from measured ones.

```
data_CaTeI5
_space_group_name_H-M_alt 'C 1 2/c 1'
_space_group_IT_number 15
_cell_length_a 11.650
_cell_length_b 10.185
_cell_length_c 11.545
_cell_angle_alpha 90.00
_cell_angle_beta 109.35
_cell_angle_gamma 90.00
loop_
_space_group_symop_operation_xyz
'x,y,z'
'-x,-y,-z'
'-x,y,-z+1/2'
'x,-y,z+1/2'
'x+1/2,y+1/2,z'
'-x+1/2,-y+1/2,-z'
'-x+1/2,y+1/2,-z+1/2'
'x+1/2,-y+1/2,z+1/2'
loop_
_atom_site_label
_atom_site_type_symbol
_atom_site_fract_x
_atom_site_fract_y
_atom_site_fract_z
Ca1 Ca 0.000 0.052 0.250
Te1 Te 0.250 0.250 0.000
I1 I 0.000 0.253 0.750
I2 I 0.094 0.305 0.152
I3 I 0.200 0.035 0.509
```

Largest 12 diffraction maxima, in order of rising 2θ, 2θ from 5° to 70°:
2θ 15.82, I = 46, hkl 1 1 1
2θ 18.76, I = 34, hkl 2 0 -2
2θ 23.82, I = 23, hkl 2 2 0
2θ 23.92, I = 30, hkl 0 2 2
2θ 25.91, I = 49, hkl 3 1 -2
2θ 26.58, I = 100, hkl 2 0 2
2θ 27.50, I = 23, hkl 1 3 0
2θ 27.92, I = 45, hkl 1 3 -1
2θ 29.65, I = 49, hkl 3 1 -3
2θ 38.99, I = 49, hkl 3 3 -3
2θ 40.05, I = 24, hkl 5 1 -1
2θ 40.44, I = 20, hkl 1 1 -5